# 1
Diffraction record for Fe2Co3O10. The powder diffraction line list is simulated, not measured: it uses a cell relaxed with PBE+U and Cu Kα X-rays.
Lines closer than 0.1° are merged.

The 12 most intense peaks (10 to 90 degrees two-theta), by angle:
h k l  2θ/deg  d (Å)  intensity
1 0 -2  18.8  4.718  100
0 1 5  36.4  2.471  35
1 1 3  37.9  2.373  5
2 0 6  44.0  2.057  15
1 1 -7  44.3  2.043  31
2 1 1  48.3  1.885  6
3 0 4  58.3  1.583  5
2 1 -9  58.8  1.571  11
0 2 0  64.1  1.453  5
3 1 -1  64.2  1.451  7
1 1 13  64.4  1.447  9
2 1 11  67.5  1.388  10

Atomic structure:
```
Fe2Co3O10
1.0
5.026 0.000 0.000
0.000 2.905 0.000
-1.427 0.000 23.509
Fe Co O
4 6 20
Direct
0.000 0.000 0.000
0.190 0.000 0.595
0.393 0.500 0.698
0.601 0.000 0.800
0.201 0.500 0.101
0.398 0.000 0.199
0.596 0.500 0.298
0.792 0.000 0.397
0.798 0.500 0.900
0.992 0.500 0.494
0.066 0.500 0.642
0.095 0.000 0.448
0.099 0.000 0.147
0.100 0.500 0.949
0.287 0.000 0.749
0.295 0.500 0.246
0.298 0.500 0.545
0.311 0.000 0.055
0.492 0.000 0.345
0.496 0.500 0.851
0.498 0.000 0.646
0.499 0.500 0.153
0.688 0.000 0.945
0.689 0.500 0.443
0.700 0.000 0.252
0.720 0.500 0.753
0.884 0.000 0.541
0.896 0.500 0.351
0.897 0.500 0.051
0.906 0.000 0.854
```

# 2
Diffraction record for Li9Mn2Co5O16. The powder diffraction line list is simulated, not measured: it uses a cell relaxed with PBE+U and Cu Kα X-rays.
Lines closer than 0.1° are merged.

The 12 most intense peaks (10 to 90 degrees two-theta), by angle:
h k l  2θ/deg  d (Å)  intensity
0 1 -2  18.3  4.857  100
0 2 4  35.9  2.503  27
1 0 -3  36.3  2.476  13
-1 1 1  37.8  2.383  7
1 0 5  43.3  2.092  28
0 3 2  43.5  2.080  27
1 1 -5  43.8  2.065  27
0 1 -10  62.5  1.486  7
1 -3 3  62.9  1.479  8
1 4 -3  63.2  1.471  14
-1 2 7  63.7  1.460  7
2 1 0  64.1  1.453  7

Atomic structure:
```
Li9Mn2Co5O16
1.0
2.907 0.000 0.000
1.444 6.428 0.000
0.198 0.486 15.393
Li Mn Co O
9 2 5 16
Direct
0.000 0.000 0.000
0.045 0.884 0.179
0.186 0.631 0.556
0.327 0.365 0.939
0.450 0.130 0.312
0.552 0.879 0.687
0.675 0.642 0.057
0.815 0.381 0.434
0.947 0.124 0.814
0.248 0.504 0.750
0.365 0.242 0.120
0.134 0.758 0.373
0.500 0.008 0.498
0.611 0.781 0.882
0.740 0.508 0.246
0.870 0.251 0.621
0.011 0.948 0.587
0.109 0.787 0.783
0.154 0.686 0.958
0.195 0.549 0.158
0.292 0.452 0.335
0.337 0.311 0.532
0.393 0.213 0.713
0.478 0.053 0.900
0.508 0.966 0.095
0.584 0.809 0.286
0.680 0.703 0.462
0.724 0.558 0.665
0.772 0.446 0.830
0.837 0.310 0.041
0.880 0.204 0.206
0.994 0.063 0.409
```

# 3
Diffraction record for Mn12O7F17. The powder diffraction line list is simulated, not measured: it uses a cell relaxed with PBE+U and Cu Kα X-rays.
Lines closer than 0.1° are merged.

The 12 most intense peaks (10 to 90 degrees two-theta), by angle:
h k l  2θ/deg  d (Å)  intensity
1 1 0  23.2  3.838  92
1 -1 0  24.7  3.605  72
1 1 3  28.7  3.108  86
1 1 -3  28.9  3.085  80
-1 1 3  30.0  2.978  77
1 -1 3  30.2  2.961  73
0 0 6  34.2  2.619  29
1 2 -3  39.2  2.301  50
2 2 3  50.5  1.807  33
2 2 -3  50.8  1.798  35
2 0 -6  51.6  1.771  100
0 2 9  61.5  1.507  32

Atomic structure:
```
Mn12O7F17
1.0
4.817 0.000 0.000
0.375 5.859 0.000
0.023 0.171 15.713
Mn O F
12 7 17
Direct
0.000 0.000 0.000
0.001 0.307 0.832
0.014 0.993 0.331
0.020 0.986 0.671
0.457 0.819 0.840
0.463 0.832 0.502
0.475 0.514 0.331
0.487 0.513 0.664
0.495 0.498 0.006
0.529 0.847 0.178
0.978 0.293 0.163
0.995 0.299 0.497
0.201 0.032 0.440
0.209 0.029 0.778
0.261 0.778 0.946
0.276 0.783 0.609
0.294 0.788 0.280
0.784 0.253 0.057
0.806 0.050 0.225
0.224 0.287 0.268
0.228 0.278 0.609
0.237 0.271 0.944
0.245 0.516 0.116
0.248 0.022 0.103
0.258 0.533 0.441
0.258 0.536 0.775
0.708 0.773 0.735
0.714 0.778 0.399
0.716 0.549 0.888
0.723 0.549 0.550
0.734 0.763 0.065
0.735 0.546 0.229
0.751 0.272 0.383
0.760 0.048 0.895
0.765 0.267 0.717
0.772 0.037 0.566
```

# 4
Diffraction record for MnAlBiO5. The powder diffraction line list is simulated, not measured: it uses a cell relaxed with PBE+U and Cu Kα X-rays.
Lines closer than 0.1° are merged.

The 12 most intense peaks (10 to 90 degrees two-theta), by angle:
h k l  2θ/deg  d (Å)  intensity
0 0 1  15.3  5.777  90
1 2 0  24.0  3.706  30
2 1 0  26.0  3.429  51
1 2 1  28.6  3.119  78
2 1 1  30.3  2.948  100
1 3 0  33.7  2.658  31
1 1 2  34.9  2.570  22
1 3 1  37.2  2.415  22
0 2 2  37.6  2.393  20
2 1 2  40.8  2.209  54
0 4 2  53.4  1.715  21
4 0 2  58.7  1.572  43

Atomic structure:
```
MnAlBiO5
1.0
7.487 0.000 0.000
0.000 8.531 0.000
0.000 0.000 5.777
Mn Al Bi O
4 4 4 20
Direct
0.000 0.000 0.243
0.000 0.000 0.757
0.500 0.500 0.243
0.500 0.500 0.757
0.112 0.358 0.000
0.388 0.858 0.000
0.612 0.142 0.000
0.888 0.642 0.000
0.141 0.665 0.500
0.359 0.165 0.500
0.641 0.835 0.500
0.859 0.335 0.500
0.000 0.500 0.208
0.000 0.500 0.792
0.109 0.207 0.241
0.109 0.207 0.759
0.155 0.925 0.000
0.155 0.945 0.500
0.345 0.425 0.000
0.345 0.445 0.500
0.391 0.707 0.241
0.391 0.707 0.759
0.500 0.000 0.208
0.500 0.000 0.792
0.609 0.293 0.241
0.609 0.293 0.759
0.655 0.555 0.500
0.655 0.575 0.000
0.845 0.055 0.500
0.845 0.075 0.000
0.891 0.793 0.241
0.891 0.793 0.759
```